[1]
The following is a simulated PXRD pattern of La5Si2P2. It was derived from a PBE-relaxed structure, using CuKα.
Neutral-atom scattering factors, no anomalous dispersion.

Cell: 8.5442 8.5442 8.0406 Å, 90.00 90.00 55.25°
Fractional coordinates of all 18 atoms:
La1 0.0000 0.0000 0.0000
La2 0.0328 0.6810 0.6691
La3 0.1810 0.5328 0.1691
La4 0.3190 0.9672 0.6691
La5 0.4672 0.8190 0.1691
La6 0.5000 0.5000 0.5000
La7 0.5328 0.1810 0.8309
La8 0.6810 0.0328 0.3309
La9 0.8190 0.4672 0.8309
La10 0.9672 0.3190 0.3309
Si1 0.1109 0.8891 0.3888
Si2 0.3891 0.6109 0.8888
Si3 0.6109 0.3891 0.1112
Si4 0.8891 0.1109 0.6112
P1 0.1993 0.1993 0.0000
P2 0.3007 0.3007 0.5000
P3 0.6993 0.6993 0.5000
P4 0.8007 0.8007 0.0000

Principal peaks in the range 10 to 80 degrees two-theta, by angle:
23.65°, rel. 28; 25.06°, rel. 71; 25.53°, rel. 46; 30.59°, rel. 100; 31.71°, rel. 37; 32.49°, rel. 45; 32.72°, rel. 52; 34.62°, rel. 61; 35.58°, rel. 31; 35.86°, rel. 42; 36.29°, rel. 43; 51.87°, rel. 42

=====

[2]
The following is a simulated PXRD pattern of Hg2AuCl6. It was derived from a PBE-relaxed structure, using CuKα.
Neutral-atom scattering factors, no anomalous dispersion.

Cell: 8.3784 8.3784 7.8656 Å, 90.62 90.62 82.71°
Fractional coordinates of all 18 atoms:
Hg1 0.1184 0.2516 0.1979
Hg2 0.2516 0.1184 0.6979
Hg3 0.7484 0.8816 0.3021
Hg4 0.8816 0.7484 0.8021
Au1 0.4035 0.5965 0.7500
Au2 0.5965 0.4035 0.2500
Cl1 0.0198 0.2145 0.8917
Cl2 0.1303 0.6202 0.6317
Cl3 0.2145 0.0198 0.3917
Cl4 0.3173 0.4527 0.1415
Cl5 0.3798 0.8697 0.8683
Cl6 0.4527 0.3173 0.6415
Cl7 0.5473 0.6827 0.3585
Cl8 0.6202 0.1303 0.1317
Cl9 0.6827 0.5473 0.8585
Cl10 0.7855 0.9802 0.6083
Cl11 0.8697 0.3798 0.3683
Cl12 0.9802 0.7855 0.1083

Principal peaks in the range 10 to 80 degrees two-theta, by angle:
15.59°, rel. 30; 16.01°, rel. 32; 22.66°, rel. 100; 24.13°, rel. 49; 24.32°, rel. 18; 24.96°, rel. 16; 27.67°, rel. 30; 32.46°, rel. 25; 37.23°, rel. 16; 43.02°, rel. 32; 44.98°, rel. 25; 45.26°, rel. 15

=====

[3]
The following is a simulated PXRD pattern of Tb4Ho7Er2. It was derived from a PBE-relaxed structure, using CuKα.
Neutral-atom scattering factors, no anomalous dispersion.

Cell: 6.0236 6.0236 13.1410 Å, 90.00 90.00 120.00°
Fractional coordinates of all 13 atoms:
Tb1 0.0000 0.0000 0.1072
Tb2 0.0000 0.0000 0.8928
Tb3 0.3333 0.6667 0.0000
Tb4 0.6667 0.3333 0.0000
Ho1 0.0000 0.0000 0.5000
Ho2 0.0000 0.3561 0.7145
Ho3 0.0000 0.6439 0.2855
Ho4 0.3561 0.0000 0.7145
Ho5 0.3561 0.3561 0.2855
Ho6 0.6439 0.0000 0.2855
Ho7 0.6439 0.6439 0.7145
Er1 0.3333 0.6667 0.5000
Er2 0.6667 0.3333 0.5000

Principal peaks in the range 10 to 80 degrees two-theta, by angle:
27.14°, rel. 19; 29.66°, rel. 15; 30.45°, rel. 45; 32.20°, rel. 14; 32.71°, rel. 100; 34.11°, rel. 15; 36.19°, rel. 33; 40.64°, rel. 14; 51.60°, rel. 18; 52.64°, rel. 30; 63.36°, rel. 14; 64.63°, rel. 14

=====

[4]
The following is a simulated PXRD pattern of SrHg14Bi. It was derived from a PBE-relaxed structure, using CuKα.
Neutral-atom scattering factors, no anomalous dispersion.

Cell: 10.8353 6.8247 6.8247 Å, 64.25 90.00 90.00°
Fractional coordinates of all 16 atoms:
Sr1 0.0000 0.0000 0.0000
Hg1 0.0000 0.0703 0.4821
Hg2 0.0000 0.4821 0.0703
Hg3 0.2550 0.1570 0.6604
Hg4 0.2550 0.6604 0.1570
Hg5 0.2598 0.1606 0.1606
Hg6 0.2733 0.6558 0.6558
Hg7 0.5000 0.4497 0.4497
Hg8 0.5000 0.4544 0.9616
Hg9 0.5000 0.9608 0.9608
Hg10 0.5000 0.9616 0.4544
Hg11 0.7267 0.6558 0.6558
Hg12 0.7402 0.1606 0.1606
Hg13 0.7450 0.1570 0.6604
Hg14 0.7450 0.6604 0.1570
Bi1 0.0000 0.5736 0.5736

Principal peaks in the range 10 to 80 degrees two-theta, by angle:
29.05°, rel. 25; 30.96°, rel. 13; 32.05°, rel. 14; 33.07°, rel. 39; 33.52°, rel. 100; 35.20°, rel. 29; 38.46°, rel. 12; 44.59°, rel. 15; 50.28°, rel. 12; 59.36°, rel. 18; 61.51°, rel. 12; 62.86°, rel. 9

=====

[5]
The following is a simulated PXRD pattern of Tb4TmTe5. It was derived from a PBE-relaxed structure, using CuKα.
Neutral-atom scattering factors, no anomalous dispersion.

Cell: 7.5566 7.5566 7.5566 Å, 99.51 99.51 132.02°
Fractional coordinates of all 10 atoms:
Tb1 0.0917 0.6838 0.7755
Tb2 0.3162 0.0917 0.4079
Tb3 0.6838 0.9083 0.5921
Tb4 0.9083 0.3162 0.2245
Tm1 0.5011 0.5011 0.0000
Te1 0.0010 0.0010 0.0000
Te2 0.2110 0.3918 0.6027
Te3 0.3918 0.7891 0.1808
Te4 0.6083 0.2110 0.8192
Te5 0.7891 0.6083 0.3973

Principal peaks in the range 10 to 80 degrees two-theta, by angle:
28.92°, rel. 100; 29.07°, rel. 51; 36.25°, rel. 5; 41.36°, rel. 36; 41.46°, rel. 75; 51.34°, rel. 39; 59.92°, rel. 11; 60.25°, rel. 7; 67.92°, rel. 30; 68.19°, rel. 17; 75.49°, rel. 22; 75.71°, rel. 12

=====

[6]
The following is a simulated PXRD pattern of Ac4SiCl4. It was derived from a PBE-relaxed structure, using CuKα.
Neutral-atom scattering factors, no anomalous dispersion.

Cell: 8.0690 8.0690 8.0690 Å, 125.40 125.40 80.88°
Fractional coordinates of all 9 atoms:
Ac1 0.0654 0.6402 0.0000
Ac2 0.3598 0.3598 0.4253
Ac3 0.6402 0.0654 0.0000
Ac4 0.9346 0.9346 0.5747
Si1 0.0000 0.0000 0.0000
Cl1 0.0000 0.5000 0.5000
Cl2 0.3327 0.3327 0.0000
Cl3 0.5000 0.0000 0.5000
Cl4 0.6673 0.6673 0.0000

Principal peaks in the range 10 to 80 degrees two-theta, by angle:
22.32°, rel. 100; 24.05°, rel. 23; 27.92°, rel. 20; 29.08°, rel. 9; 33.85°, rel. 11; 34.27°, rel. 20; 34.85°, rel. 9; 38.08°, rel. 21; 41.28°, rel. 25; 42.79°, rel. 11; 51.44°, rel. 11; 64.27°, rel. 8

=====

[7]
The following is a simulated PXRD pattern of RbCd9Hg2. It was derived from a PBE-relaxed structure, using CuKα.
Neutral-atom scattering factors, no anomalous dispersion.

Cell: 9.7720 9.7720 3.7489 Å, 90.00 90.00 120.00°
Fractional coordinates of all 12 atoms:
Rb1 0.0000 0.0000 0.0000
Cd1 0.0000 0.5000 0.0000
Cd2 0.1864 0.3728 0.5000
Cd3 0.1864 0.8136 0.5000
Cd4 0.3728 0.1864 0.5000
Cd5 0.5000 0.0000 0.0000
Cd6 0.5000 0.5000 0.0000
Cd7 0.6272 0.8136 0.5000
Cd8 0.8136 0.1864 0.5000
Cd9 0.8136 0.6272 0.5000
Hg1 0.3333 0.6667 0.0000
Hg2 0.6667 0.3333 0.0000

Principal peaks in the range 10 to 80 degrees two-theta, by angle:
10.45°, rel. 41; 26.00°, rel. 15; 30.04°, rel. 57; 31.89°, rel. 47; 36.79°, rel. 100; 36.94°, rel. 55; 40.00°, rel. 32; 48.57°, rel. 18; 55.47°, rel. 17; 59.97°, rel. 15; 62.45°, rel. 41; 66.29°, rel. 17

=====

[8]
The following is a simulated PXRD pattern of MgGe4Rh2. It was derived from a PBE-relaxed structure, using CuKα.
Neutral-atom scattering factors, no anomalous dispersion.

Cell: 7.1585 7.1585 7.1585 Å, 140.54 140.54 57.04°
Fractional coordinates of all 7 atoms:
Mg1 0.0000 0.0000 0.0000
Ge1 0.0000 0.5000 0.5000
Ge2 0.2110 0.2110 0.0000
Ge3 0.5000 0.0000 0.5000
Ge4 0.7890 0.7890 0.0000
Rh1 0.3952 0.3952 0.0000
Rh2 0.6048 0.6048 0.0000

Principal peaks in the range 10 to 80 degrees two-theta, by angle:
14.08°, rel. 18; 19.68°, rel. 39; 26.07°, rel. 50; 29.75°, rel. 53; 37.20°, rel. 100; 38.92°, rel. 31; 40.42°, rel. 77; 51.11°, rel. 22; 53.63°, rel. 34; 56.09°, rel. 58; 69.25°, rel. 15; 77.24°, rel. 13

=====

> Number 2 is which compound?

Hg2AuCl6